[1]
Hf2N2O: computed X-ray diffraction stick pattern (a wavelength of 1.5418 Å), based on a PBE-relaxed structure.

Peak list (12 most intense, 10° ≤ 2θ ≤ 90°, sorted by position)
two_theta	d_spacing	I/Imax
21.6	4.116	11
30.7	2.911	100
35.6	2.521	37
37.9	2.377	7
42.0	2.150	4
45.9	1.977	10
51.3	1.782	34
56.2	1.636	6
60.9	1.520	29
62.5	1.487	5
75.4	1.260	4
83.6	1.156	5

Structure:
```
data_Hf2N2O
_cell_length_a 8.727
_cell_length_b 8.727
_cell_length_c 8.732
_cell_angle_alpha 109.45
_cell_angle_beta 109.44
_cell_angle_gamma 109.44
_space_group_name_H-M_alt 'P 1'
_space_group_IT_number 1
loop_
_space_group_symop_operation_xyz
'x,y,z'
loop_
_atom_site_label
_atom_site_fract_x
_atom_site_fract_y
_atom_site_fract_z
_atom_site_occupancy
Hf1 0.000 0.000 0.000 1
Hf2 0.002 0.498 0.499 1
Hf3 0.046 0.750 0.218 1
Hf4 0.224 0.969 0.674 1
Hf5 0.248 0.706 0.966 1
Hf6 0.268 0.232 0.487 1
Hf7 0.286 0.466 0.250 1
Hf8 0.476 0.681 0.727 1
Hf9 0.506 0.930 0.431 1
Hf10 0.511 0.440 0.939 1
Hf11 0.551 0.265 0.230 1
Hf12 0.722 0.968 0.186 1
Hf13 0.758 0.711 0.459 1
Hf14 0.769 0.223 0.980 1
Hf15 0.798 0.478 0.762 1
Hf16 0.977 0.188 0.718 1
N1 0.022 0.757 0.960 1
N2 0.031 0.447 0.732 1
N3 0.032 0.263 0.002 1
N4 0.215 0.449 0.458 1
N5 0.224 0.226 0.709 1
N6 0.252 0.676 0.200 1
N7 0.309 0.996 0.484 1
N8 0.496 0.688 0.983 1
N9 0.518 0.488 0.199 1
N10 0.531 0.459 0.697 1
N11 0.726 0.944 0.920 1
N12 0.742 0.480 0.504 1
N13 0.770 0.959 0.437 1
N14 0.792 0.489 0.017 1
N15 0.797 0.250 0.240 1
N16 0.988 0.712 0.430 1
O1 0.273 0.771 0.748 1
O2 0.291 0.199 0.230 1
O3 0.483 0.166 0.934 1
O4 0.483 0.995 0.211 1
O5 0.533 0.737 0.520 1
O6 0.710 0.183 0.698 1
O7 0.986 0.983 0.242 1
O8 0.996 0.944 0.744 1
```



[2]
Hf2N2O: computed X-ray diffraction stick pattern (a wavelength of 1.5418 Å), based on a PBE-relaxed structure.

Peak list (12 most intense, 10° ≤ 2θ ≤ 90°, sorted by position)
two_theta	d_spacing	I/Imax
22.4	3.977	17
30.9	2.894	100
32.7	2.740	64
32.8	2.730	32
45.6	1.988	37
50.1	1.820	20
53.8	1.704	11
57.2	1.612	12
57.3	1.608	12
57.4	1.606	12
58.5	1.578	16
67.0	1.396	12

Structure:
```
data_Hf2N2O
_cell_length_a 5.480
_cell_length_b 5.480
_cell_length_c 14.612
_cell_angle_alpha 90.06
_cell_angle_beta 90.06
_cell_angle_gamma 59.77
_space_group_name_H-M_alt 'P 1'
_space_group_IT_number 1
loop_
_space_group_symop_operation_xyz
'x,y,z'
loop_
_atom_site_label
_atom_site_fract_x
_atom_site_fract_y
_atom_site_fract_z
_atom_site_occupancy
Hf1 0.000 0.004 0.143 1
Hf2 0.000 0.996 0.857 1
Hf3 0.004 0.000 0.643 1
Hf4 0.322 0.323 0.310 1
Hf5 0.322 0.326 0.524 1
Hf6 0.323 0.322 0.810 1
Hf7 0.326 0.322 0.024 1
Hf8 0.674 0.678 0.976 1
Hf9 0.677 0.678 0.190 1
Hf10 0.678 0.674 0.476 1
Hf11 0.678 0.677 0.690 1
Hf12 0.996 0.000 0.357 1
N1 0.004 0.292 0.248 1
N2 0.035 0.339 0.915 1
N3 0.044 0.632 0.418 1
N4 0.292 0.004 0.748 1
N5 0.339 0.035 0.415 1
N6 0.368 0.956 0.082 1
N7 0.632 0.044 0.918 1
N8 0.661 0.965 0.585 1
N9 0.708 0.996 0.252 1
N10 0.956 0.368 0.582 1
N11 0.965 0.661 0.085 1
N12 0.996 0.708 0.752 1
O1 0.311 0.689 0.250 1
O2 0.335 0.644 0.918 1
O3 0.356 0.665 0.582 1
O4 0.644 0.335 0.418 1
O5 0.665 0.356 0.082 1
O6 0.689 0.311 0.750 1
```



[3]
Hf2N2O: computed X-ray diffraction stick pattern (a wavelength of 1.5418 Å), based on a PBE-relaxed structure.

Peak list (12 most intense, 10° ≤ 2θ ≤ 90°, sorted by position)
two_theta	d_spacing	I/Imax
21.6	4.118	12
30.7	2.912	100
35.6	2.522	37
37.8	2.378	8
45.9	1.978	10
51.2	1.783	33
56.2	1.637	5
60.9	1.521	23
61.0	1.519	5
62.4	1.488	5
63.9	1.456	5
83.5	1.158	4

Structure:
```
data_Hf2N2O
_cell_length_a 8.729
_cell_length_b 8.734
_cell_length_c 8.737
_cell_angle_alpha 109.51
_cell_angle_beta 109.43
_cell_angle_gamma 109.38
_space_group_name_H-M_alt 'P 1'
_space_group_IT_number 1
loop_
_space_group_symop_operation_xyz
'x,y,z'
loop_
_atom_site_label
_atom_site_fract_x
_atom_site_fract_y
_atom_site_fract_z
_atom_site_occupancy
Hf1 0.000 0.000 0.000 1
Hf2 0.005 0.498 0.505 1
Hf3 0.046 0.316 0.781 1
Hf4 0.218 0.032 0.747 1
Hf5 0.243 0.766 0.024 1
Hf6 0.257 0.297 0.544 1
Hf7 0.298 0.546 0.325 1
Hf8 0.478 0.251 0.292 1
Hf9 0.502 0.575 0.063 1
Hf10 0.505 0.070 0.575 1
Hf11 0.535 0.823 0.783 1
Hf12 0.722 0.034 0.243 1
Hf13 0.745 0.281 0.037 1
Hf14 0.767 0.797 0.534 1
Hf15 0.789 0.534 0.819 1
Hf16 0.957 0.744 0.274 1
N1 0.013 0.554 0.761 1
N2 0.030 0.804 0.083 1
N3 0.244 0.546 0.071 1
N4 0.288 0.555 0.575 1
N5 0.301 0.317 0.803 1
N6 0.478 0.774 0.986 1
N7 0.482 0.049 0.806 1
N8 0.518 0.822 0.518 1
N9 0.529 0.329 0.565 1
N10 0.712 0.510 0.022 1
N11 0.717 0.297 0.271 1
N12 0.763 0.827 0.305 1
N13 0.804 0.060 0.046 1
N14 0.980 0.056 0.775 1
N15 0.983 0.235 0.497 1
N16 0.996 0.752 0.542 1
O1 0.028 0.519 0.257 1
O2 0.213 0.251 0.256 1
O3 0.223 0.011 0.487 1
O4 0.271 0.029 0.004 1
O5 0.488 0.012 0.303 1
O6 0.525 0.510 0.301 1
O7 0.742 0.737 0.759 1
O8 0.787 0.271 0.793 1
```